For MnSbBr2, a crystal structure in Alexandria, relaxed with PBE gives the theoretical powder XRD pattern in this record (Cu Kα).

Peak list (10 most intense, 2θ from 10° to 90°, sorted by position)
| d (Å) | Position (°2θ) | I_rel |
| --- | --- | --- |
| 3.131 | 28.51 | 12 |
| 3.115 | 28.65 | 57 |
| 3.092 | 28.87 | 16 |
| 2.686 | 33.36 | 100 |
| 2.263 | 39.84 | 40 |
| 1.925 | 47.22 | 14 |
| 1.877 | 48.50 | 14 |
| 1.703 | 53.82 | 24 |
| 1.638 | 56.16 | 20 |
| 1.578 | 58.47 | 13 |

Atomic structure:
```
4
Lattice="1.925 -3.115 0.000 1.925 3.115 0.000 0.000 0.000 9.392" Properties=species:S:1:pos:R:3 pbc="T T T"
Mn 0.000 0.000 0.000
Sb 1.925 0.000 1.972
Br 0.000 0.000 4.231
Br 1.925 0.000 7.780
```

---

For BaLiCaHg, a crystal structure in Alexandria, relaxed with PBE gives the theoretical powder XRD pattern in this record (Cu Kα).

Peak list (10 most intense, 2θ from 10° to 90°, sorted by position)
| d (Å) | Position (°2θ) | I_rel |
| --- | --- | --- |
| 4.681 | 18.96 | 70 |
| 2.866 | 31.20 | 100 |
| 2.444 | 36.77 | 41 |
| 2.027 | 44.71 | 18 |
| 1.860 | 48.97 | 19 |
| 1.655 | 55.53 | 39 |
| 1.560 | 59.22 | 14 |
| 1.433 | 65.08 | 12 |
| 1.370 | 68.47 | 14 |
| 1.282 | 73.94 | 17 |

Atomic structure:
```
4
Lattice="0.000 4.054 4.054 4.054 0.000 4.054 4.054 4.054 0.000" Properties=species:S:1:pos:R:3 pbc="T T T"
Ba 0.000 0.000 0.000
Li 2.027 2.027 2.027
Ca 4.054 4.054 4.054
Hg 6.081 6.081 6.081
```

---

For YPuH4, a crystal structure in Alexandria, relaxed with PBE gives the theoretical powder XRD pattern in this record (Cu Kα).

Peak list (10 most intense, 2θ from 10° to 90°, sorted by position)
| d (Å) | Position (°2θ) | I_rel |
| --- | --- | --- |
| 5.280 | 16.79 | 17 |
| 3.694 | 24.09 | 15 |
| 3.027 | 29.51 | 100 |
| 2.640 | 33.96 | 17 |
| 2.612 | 34.33 | 32 |
| 1.857 | 49.06 | 26 |
| 1.847 | 49.34 | 13 |
| 1.589 | 58.06 | 15 |
| 1.577 | 58.55 | 30 |
| 1.513 | 61.25 | 13 |

Atomic structure:
```
6
Lattice="3.694 0.000 0.000 0.000 3.694 0.000 0.000 0.000 5.280" Properties=species:S:1:pos:R:3 pbc="T T T"
Y 0.000 0.000 0.000
Pu 1.847 1.847 2.640
H 0.000 1.847 1.286
H 0.000 1.847 3.993
H 1.847 0.000 1.286
H 1.847 0.000 3.993
```

---

For Li2ZrPd3, a crystal structure in Alexandria, relaxed with PBE gives the theoretical powder XRD pattern in this record (Cu Kα).

Peak list (10 most intense, 2θ from 10° to 90°, sorted by position)
| d (Å) | Position (°2θ) | I_rel |
| --- | --- | --- |
| 3.648 | 24.40 | 21 |
| 3.155 | 28.29 | 72 |
| 2.235 | 40.35 | 100 |
| 2.226 | 40.52 | 98 |
| 1.824 | 50.01 | 15 |
| 1.577 | 58.51 | 33 |
| 1.413 | 66.12 | 12 |
| 1.291 | 73.36 | 16 |
| 1.289 | 73.47 | 33 |
| 1.284 | 73.83 | 14 |

Atomic structure:
```
12
Lattice="4.471 0.000 0.000 -2.235 3.872 0.000 0.000 0.000 10.884" Properties=species:S:1:pos:R:3 pbc="T T T"
Li 0.000 0.000 0.000
Li 0.000 0.000 5.442
Li 0.000 2.581 1.705
Li 2.235 1.291 9.179
Zr 0.000 2.581 7.333
Zr 2.235 1.291 3.552
Pd 0.000 0.000 2.601
Pd 0.000 0.000 8.283
Pd 0.000 2.581 4.522
Pd 0.000 2.581 10.019
Pd 2.235 1.291 0.865
Pd 2.235 1.291 6.362
```